Entry 1:
Structure and simulated powder X-ray diffraction pattern of KTlTe (a structure optimized by DFT (PBE); Cu Ka).
Kinematic intensities with the Lorentz-polarization factor, no thermal factor.

Structure:
```
data_KTlTe
_chemical_formula_sum 'K4 Tl4 Te4'
_cell_length_a 8.350
_cell_length_b 5.224
_cell_length_c 10.747
_cell_angle_alpha 90.00
_cell_angle_beta 90.00
_cell_angle_gamma 90.00
_space_group_name_H-M_alt 'P n m a'
_space_group_IT_number 62
loop_
_space_group_symop_operation_xyz
'x,y,z'
'-x,-y,-z'
'-x+1/2,-y,z+1/2'
'x+1/2,y,-z+1/2'
'x+1/2,-y+1/2,-z+1/2'
'-x+1/2,y+1/2,z+1/2'
'-x,y+1/2,-z'
'x,-y+1/2,z'
loop_
_atom_site_label
_atom_site_fract_x
_atom_site_fract_y
_atom_site_fract_z
K1 0.030 0.250 0.182
Tl1 0.156 0.250 0.571
Te1 0.235 0.750 0.387
```

Most intense lines, 5 to 70 degrees two-theta, in order of rising 2θ:
| 2theta | I_rel | (hkl) |
| --- | --- | --- |
| 13.4 | 56.9 | 1 0 1 |
| 18.9 | 53.4 | 0 1 1 |
| 26.1 | 50.4 | 1 1 2 |
| 27.3 | 41.6 | 2 1 0 |
| 28.6 | 51.7 | 2 1 1 |
| 30.3 | 100.0 | 0 1 3 |
| 32.1 | 39.4 | 1 1 3 |
| 33.3 | 48.9 | 3 0 1 |
| 34.3 | 49.0 | 0 2 0 |
| 48.6 | 34.0 | 3 2 1 |

---

Entry 2:
Structure and simulated powder X-ray diffraction pattern of K2Tl5Te4 (a structure optimized by DFT (PBE); Cu Ka).
Kinematic intensities with the Lorentz-polarization factor, no thermal factor.

Structure:
```
data_K2Tl5Te4
_chemical_formula_sum 'K4 Tl10 Te8'
_cell_length_a 22.362
_cell_length_b 4.826
_cell_length_c 8.117
_cell_angle_alpha 90.00
_cell_angle_beta 96.06
_cell_angle_gamma 90.00
_space_group_name_H-M_alt 'C 1 2/m 1'
_space_group_IT_number 12
loop_
_space_group_symop_operation_xyz
'x,y,z'
'-x,-y,-z'
'-x,y,-z'
'x,-y,z'
'x+1/2,y+1/2,z'
'-x+1/2,-y+1/2,-z'
'-x+1/2,y+1/2,-z'
'x+1/2,-y+1/2,z'
loop_
_atom_site_label
_atom_site_fract_x
_atom_site_fract_y
_atom_site_fract_z
K1 0.086 0.000 0.085
Tl1 0.000 0.000 0.500
Tl2 0.158 0.500 0.761
Tl3 0.216 0.500 0.287
Te1 0.017 0.500 0.801
Te2 0.158 0.000 0.492
```

Most intense lines, 5 to 70 degrees two-theta, in order of rising 2θ:
| 2theta | I_rel | (hkl) |
| --- | --- | --- |
| 11.0 | 47.3 | 0 0 1 |
| 22.0 | 54.4 | 0 0 2 |
| 24.0 | 66.3 | 6 0 0 |
| 25.2 | 33.9 | 3 1 1 |
| 28.6 | 51.3 | 5 1 -1 |
| 28.8 | 100.0 | 1 1 -2 |
| 33.0 | 35.8 | 8 0 -1 |
| 33.9 | 49.3 | 5 1 -2 |
| 36.6 | 45.8 | 7 1 1 |
| 37.3 | 50.4 | 0 2 0 |

---

Entry 3:
Structure and simulated powder X-ray diffraction pattern of KTlVTe3 (a structure optimized by DFT (PBE); Cu Ka).
Kinematic intensities with the Lorentz-polarization factor, no thermal factor.

Structure:
```
data_KTlVTe3
_chemical_formula_sum 'K4 Tl4 V4 Te12'
_cell_length_a 7.727
_cell_length_b 16.689
_cell_length_c 6.873
_cell_angle_alpha 90.00
_cell_angle_beta 110.20
_cell_angle_gamma 90.00
_space_group_name_H-M_alt 'C 1 2/c 1'
_space_group_IT_number 15
loop_
_space_group_symop_operation_xyz
'x,y,z'
'-x,-y,-z'
'-x,y,-z+1/2'
'x,-y,z+1/2'
'x+1/2,y+1/2,z'
'-x+1/2,-y+1/2,-z'
'-x+1/2,y+1/2,-z+1/2'
'x+1/2,-y+1/2,z+1/2'
loop_
_atom_site_label
_atom_site_fract_x
_atom_site_fract_y
_atom_site_fract_z
K1 0.000 0.243 0.250
Tl1 0.000 0.394 0.750
V1 0.000 0.032 0.750
Te1 0.000 0.194 0.750
Te2 0.235 0.054 0.535
```

Most intense lines, 5 to 70 degrees two-theta, in order of rising 2θ:
| 2theta | I_rel | (hkl) |
| --- | --- | --- |
| 10.6 | 44.5 | 0 2 0 |
| 15.8 | 25.7 | 1 1 -1 |
| 22.0 | 63.1 | 1 1 1 |
| 26.8 | 100.0 | 1 3 1 |
| 29.5 | 44.7 | 1 5 0 |
| 30.1 | 65.7 | 2 0 -2 |
| 30.7 | 29.0 | 1 5 -1 |
| 35.1 | 30.1 | 0 6 1 |
| 37.7 | 29.2 | 1 5 -2 |
| 43.5 | 26.8 | 2 0 2 |

---

Entry 4:
Structure and simulated powder X-ray diffraction pattern of K3TmU3Te8 (a structure optimized by DFT (PBE); Cu Ka).
Kinematic intensities with the Lorentz-polarization factor, no thermal factor.

Structure:
```
data_K3TmU3Te8
_chemical_formula_sum 'K3 Tm1 U3 Te8'
_cell_length_a 8.921
_cell_length_b 8.954
_cell_length_c 9.855
_cell_angle_alpha 63.15
_cell_angle_beta 63.15
_cell_angle_gamma 60.20
_space_group_name_H-M_alt 'P -1'
_space_group_IT_number 2
loop_
_space_group_symop_operation_xyz
'x,y,z'
'-x,-y,-z'
loop_
_atom_site_label
_atom_site_fract_x
_atom_site_fract_y
_atom_site_fract_z
K1 0.000 0.000 0.000
K2 0.000 0.500 0.000
K3 0.500 0.000 0.000
Tm1 0.000 0.000 0.500
U1 0.000 0.500 0.500
U2 0.500 0.000 0.500
U3 0.500 0.500 0.500
Te1 0.234 0.234 0.293
Te2 0.234 0.738 0.294
Te3 0.261 0.766 0.707
Te4 0.262 0.263 0.712
```

Most intense lines, 5 to 70 degrees two-theta, in order of rising 2θ:
| 2theta | I_rel | (hkl) |
| --- | --- | --- |
| 10.5 | 73.3 | 0 0 1 |
| 27.0 | 100.0 | 2 2 0 |
| 34.0 | 25.6 | 2 0 3 |
| 36.7 | 24.4 | 2 0 -2 |
| 36.8 | 12.2 | 2 2 4 |
| 40.3 | 24.4 | 2 4 2 |
| 40.4 | 12.1 | 4 2 2 |
| 41.7 | 11.4 | 2 4 1 |
| 46.0 | 10.5 | 2 2 5 |
| 49.3 | 12.8 | 4 4 4 |